1.
CsRb2IO: theoretical XRD peak list (copper Kα), based on a structure optimized by DFT (GGA-PBE).
Kinematic intensities with the Lorentz-polarization factor, no thermal factor.

Main lines, most intense first (2θ from 10° to 90°):
2theta  I/Imax  index
27.0  100  1 1 1
31.7  39  2 0 0
44.6  29  2 0 2
53.7  29  3 1 1
30.5  21  0 0 2
52.1  16  1 1 3
55.7  15  2 2 2
45.5  14  2 2 0

Crystal structure
a b c (Å): 5.643 5.643 5.864
angles (deg): 90.00 90.00 90.00
Space group P4/mmm (No. 123)
Asymmetric unit:
Cs 0.000 0.000 0.000
Rb 0.000 0.500 0.500
I 0.500 0.500 0.000
O 0.000 0.000 0.500

***

2.
Tm3U5As8: theoretical XRD peak list (copper Kα), based on a structure optimized by DFT (GGA-PBE).
Kinematic intensities with the Lorentz-polarization factor, no thermal factor.

Main lines, most intense first (2θ from 10° to 90°):
2theta  I/Imax  index
31.0  100  0 2 4
44.3  38  2 0 8
44.6  37  2 2 0
26.9  29  2 0 2
55.4  20  4 0 4
73.2  18  2 2 12
73.8  17  2 4 4
82.0  13  4 2 8

Crystal structure
a b c (Å): 8.1180 8.1180 20.1383
angles (deg): 90.00 90.00 120.00
Space group R-3m (No. 166, hexagonal axes)
Asymmetric unit:
Tm 0.0000 0.5000 0.0000
U 0.0000 0.0000 0.0000
U 0.0000 0.0000 0.5000
U 0.0000 0.5000 0.5000
As 0.0000 0.0000 0.2506
As 0.0014 0.5007 0.2509

***

3.
NdMgSb2: theoretical XRD peak list (copper Kα), based on a structure optimized by DFT (GGA-PBE).
Kinematic intensities with the Lorentz-polarization factor, no thermal factor.

Main lines, most intense first (2θ from 10° to 90°):
2theta  I/Imax  index
32.8  100  1 1 2
40.7  40  2 0 0
25.7  36  1 0 2
38.3  25  1 0 4
69.1  23  3 1 2
29.6  16  1 1 1
57.1  16  2 1 4
58.9  15  2 2 0

Crystal structure
a b c (Å): 4.435 4.435 11.097
angles (deg): 90.00 90.00 90.00
Space group P4/nmm (No. 129, origin choice 2)
Asymmetric unit:
Nd 0.250 0.250 0.219
Mg 0.250 0.750 0.500
Sb 0.250 0.250 0.675
Sb 0.250 0.750 0.000

***

4.
LiErSc4O8: theoretical XRD peak list (copper Kα), based on a structure optimized by DFT (GGA-PBE).
Kinematic intensities with the Lorentz-polarization factor, no thermal factor.

Main lines, most intense first (2θ from 10° to 90°):
2theta  I/Imax  index
28.4  100  1 0 4
33.2  90  1 1 3
33.1  89  0 2 1
17.1  81  1 0 1
33.5  52  0 1 5
19.9  49  0 1 2
28.1  48  1 1 0
58.0  41  2 2 0

Crystal structure
a b c (Å): 6.3563 6.3563 15.2957
angles (deg): 90.00 90.00 120.00
Space group R3m (No. 160, hexagonal axes)
Asymmetric unit:
Li 0.0000 0.0000 0.0000
Er 0.0000 0.0000 0.6237
Sc 0.0000 0.0000 0.3834
Sc 0.0017 0.5009 0.5044
O 0.0000 0.0000 0.2473
O 0.0000 0.0000 0.7645
O 0.0085 0.5042 0.7629
O 0.1819 0.3638 0.5796

***

5.
ZnAg14Ge: theoretical XRD peak list (copper Kα), based on a structure optimized by DFT (GGA-PBE).
Kinematic intensities with the Lorentz-polarization factor, no thermal factor.

Main lines, most intense first (2θ from 10° to 90°):
2theta  I/Imax  index
39.9  100  2 2 2
37.9  46  4 0 0
40.8  37  2 0 4
36.3  33  1 2 2
76.8  21  4 2 6
37.2  19  1 0 4
64.0  18  0 2 6
69.8  18  6 2 2

Crystal structure
a b c (Å): 9.498 5.983 9.989
angles (deg): 90.00 90.00 90.00
Space group Amm2 (No. 38)
Asymmetric unit:
Zn 0.000 0.000 0.000
Ag 0.000 0.250 0.252
Ag 0.245 0.248 0.078
Ag 0.249 0.000 0.830
Ag 0.252 0.000 0.329
Ag 0.500 0.000 0.157
Ag 0.500 0.000 0.656
Ag 0.500 0.249 0.908
Ge 0.000 0.000 0.502

***

6.
KHS: theoretical XRD peak list (copper Kα), based on a structure optimized by DFT (GGA-PBE).
Kinematic intensities with the Lorentz-polarization factor, no thermal factor.

Main lines, most intense first (2θ from 10° to 90°):
2theta  I/Imax  index
27.7  100  1 1 0
36.7  67  1 1 2
23.6  60  0 0 2
39.6  34  2 0 0
46.6  31  2 0 2
41.1  23  1 0 3
70.0  17  3 1 2
22.8  15  1 0 1

Crystal structure
a b c (Å): 4.551 4.551 7.531
angles (deg): 90.00 90.00 90.00
Space group I4mm (No. 107)
Asymmetric unit:
K 0.000 0.000 0.000
H 0.000 0.000 0.392
S 0.000 0.000 0.571

***

7.
Tl2Ga2Sn: theoretical XRD peak list (copper Kα), based on a structure optimized by DFT (GGA-PBE).
Kinematic intensities with the Lorentz-polarization factor, no thermal factor.

Main lines, most intense first (2θ from 10° to 90°):
2theta  I/Imax  index
33.4  100  1 0 5
27.6  60  1 0 3
35.1  42  1 1 2
38.8  40  1 1 4
60.3  38  2 1 5
24.2  31  1 0 1
48.6  31  2 0 0
59.5  28  1 1 10

Crystal structure
a b c (Å): 3.749 3.749 19.151
angles (deg): 90.00 90.00 90.00
Space group I4/mmm (No. 139)
Asymmetric unit:
Tl 0.000 0.000 0.109
Ga 0.000 0.500 0.250
Sn 0.000 0.000 0.500

***

8.
Pr2Fe2Ni15: theoretical XRD peak list (copper Kα), based on a structure optimized by DFT (GGA-PBE).
Kinematic intensities with the Lorentz-polarization factor, no thermal factor.

Main lines, most intense first (2θ from 10° to 90°):
2theta  I/Imax  index
43.4  100  3 0 3
43.1  60  2 2 0
44.4  47  0 0 6
37.1  36  3 0 0
30.6  33  1 1 3
48.8  27  2 2 3
38.4  26  0 2 4
63.6  26  2 2 6

Crystal structure
a b c (Å): 8.3897 8.3897 12.2486
angles (deg): 90.00 90.00 120.00
Space group R-3m (No. 166, hexagonal axes)
Asymmetric unit:
Pr 0.0000 0.0000 0.1567
Fe 0.0000 0.0000 0.4062
Ni 0.0000 0.2913 0.5000
Ni 0.0000 0.5000 0.0000
Ni 0.0054 0.5027 0.3438